The following is a computed powder X-ray diffraction pattern of NiSbP2O8. It was derived from a cell relaxed with GGA+U, using Cu Kα.

Structure:
```
data_NiSbP2O8
_chemical_formula_sum 'Ni2 Sb2 P4 O16'
_symmetry_space_group_name_H-M 'P 1 21/m 1'
_symmetry_Int_Tables_number 11
_symmetry_space_group_name_Hall '-P 2yb'
_cell_length_a 4.9398
_cell_length_b 6.1480
_cell_length_c 10.1522
_cell_angle_alpha 90.00
_cell_angle_beta 91.59
_cell_angle_gamma 90.00
loop_
_atom_site_label
_atom_site_type_symbol
_atom_site_fract_x
_atom_site_fract_y
_atom_site_fract_z
Ni1 Ni 0.0584 0.2500 0.2233
Sb1 Sb 0.4558 0.2500 0.7217
P1 P 0.0971 0.7500 0.0910
P2 P 0.3919 0.7500 0.5991
O1 O 0.1503 0.7500 0.9458
O2 O 0.2114 0.2500 0.8854
O3 O 0.2444 0.5548 0.1681
O4 O 0.2469 0.5524 0.6687
O5 O 0.3041 0.2500 0.3812
O6 O 0.3056 0.7500 0.4510
```

Most intense lines, 2θ from 15° to 90°, by intensity:
17.48°, I 100
29.05°, I 83
24.91°, I 75
24.55°, I 74
35.70°, I 64
34.93°, I 59
20.22°, I 35
50.34°, I 27
24.81°, I 25
16.86°, I 24



The following is a computed powder X-ray diffraction pattern of NiSbP2O9. It was derived from a cell relaxed with GGA+U, using Cu Kα.

Structure:
```
data_NiSbP2O9
_chemical_formula_sum 'Ni4 Sb4 P8 O36'
_symmetry_space_group_name_H-M 'P n m a'
_symmetry_Int_Tables_number 62
_symmetry_space_group_name_Hall '-P 2ac 2n'
_cell_length_a 14.0698
_cell_length_b 6.3985
_cell_length_c 7.8810
_cell_angle_alpha 90.00
_cell_angle_beta 90.00
_cell_angle_gamma 90.00
loop_
_atom_site_label
_atom_site_type_symbol
_atom_site_fract_x
_atom_site_fract_y
_atom_site_fract_z
Ni1 Ni 0.0000 0.0000 0.0000
Sb1 Sb 0.1233 0.2500 0.3479
P1 P 0.0596 0.7500 0.3450
P2 P 0.1856 0.7500 0.8930
O1 O 0.0179 0.7500 0.1651
O2 O 0.0189 0.2500 0.5198
O3 O 0.0464 0.2500 0.1453
O4 O 0.1260 0.5502 0.9062
O5 O 0.1267 0.5601 0.3693
O6 O 0.2279 0.2500 0.5258
O7 O 0.2476 0.7500 0.7248
```

Most intense lines, 2θ from 15° to 90°, by intensity:
16.89°, I 100
23.44°, I 74
18.95°, I 72
17.86°, I 62
30.83°, I 52
32.79°, I 38
29.61°, I 33
31.16°, I 28
22.06°, I 27
55.85°, I 25



The following is a computed powder X-ray diffraction pattern of TiNi3Sb2P6O24. It was derived from a cell relaxed with GGA+U, using Cu Kα.

Structure:
```
data_TiNi3Sb2P6O24
_chemical_formula_sum 'Ti3 Ni9 Sb6 P18 O72'
_symmetry_space_group_name_H-M 'R 3'
_symmetry_Int_Tables_number 146
_symmetry_space_group_name_Hall 'R 3'
_cell_length_a 8.7209
_cell_length_b 8.7209
_cell_length_c 21.1863
_cell_angle_alpha 90.00
_cell_angle_beta 90.00
_cell_angle_gamma 120.00
loop_
_atom_site_label
_atom_site_type_symbol
_atom_site_fract_x
_atom_site_fract_y
_atom_site_fract_z
Ti1 Ti 0.0000 0.0000 0.0000
Ni1 Ni 0.0000 0.0000 0.2955
Ni2 Ni 0.0000 0.0000 0.4917
Ni3 Ni 0.0000 0.0000 0.7919
Sb1 Sb 0.0000 0.0000 0.1562
Sb2 Sb 0.0000 0.0000 0.6457
P1 P 0.0001 0.7059 0.3901
P2 P 0.0428 0.3735 0.5620
O1 O 0.0017 0.7931 0.4520
O2 O 0.0017 0.7974 0.3301
O3 O 0.0023 0.8254 0.0600
O4 O 0.0126 0.1930 0.9531
O5 O 0.0245 0.1825 0.5748
O6 O 0.1339 0.4525 0.5006
O7 O 0.1564 0.4851 0.8919
O8 O 0.1701 0.6764 0.3833
```

Most intense lines, 2θ from 15° to 90°, by intensity:
20.37°, I 100
32.63°, I 84
23.98°, I 58
35.66°, I 41
49.11°, I 32
62.16°, I 25
25.03°, I 25
55.78°, I 25
46.79°, I 23
44.18°, I 16



The following is a computed powder X-ray diffraction pattern of VNi3Sb2P6O24. It was derived from a cell relaxed with GGA+U, using Cu Kα.

Structure:
```
data_VNi3Sb2P6O24
_chemical_formula_sum 'V3 Ni9 Sb6 P18 O72'
_symmetry_space_group_name_H-M 'R 3'
_symmetry_Int_Tables_number 146
_symmetry_space_group_name_Hall 'R 3'
_cell_length_a 8.6560
_cell_length_b 8.6560
_cell_length_c 21.8090
_cell_angle_alpha 90.00
_cell_angle_beta 90.00
_cell_angle_gamma 120.00
loop_
_atom_site_label
_atom_site_type_symbol
_atom_site_fract_x
_atom_site_fract_y
_atom_site_fract_z
V1 V 0.0000 0.0000 0.0000
Ni1 Ni 0.0000 0.0000 0.2957
Ni2 Ni 0.0000 0.0000 0.4957
Ni3 Ni 0.0000 0.0000 0.7895
Sb1 Sb 0.0000 0.0000 0.1620
Sb2 Sb 0.0000 0.0000 0.6476
P1 P 0.0412 0.6679 0.0567
P2 P 0.0480 0.3794 0.5600
O1 O 0.0010 0.2025 0.8334
O2 O 0.0080 0.1859 0.9511
O3 O 0.0079 0.8331 0.0527
O4 O 0.0131 0.8054 0.3319
O5 O 0.0301 0.1915 0.5687
O6 O 0.1353 0.6899 0.1173
O7 O 0.1653 0.6764 0.3883
O8 O 0.1673 0.4816 0.8934
```

Most intense lines, 2θ from 15° to 90°, by intensity:
20.52°, I 100
32.16°, I 81
23.93°, I 57
35.94°, I 38
48.99°, I 30
56.23°, I 25
25.12°, I 24
46.21°, I 23
62.24°, I 22
32.65°, I 17



The following is a computed powder X-ray diffraction pattern of Sr2ScNiPO3. It was derived from a cell relaxed with GGA+U, using Cu Kα.

Structure:
```
data_Sr2ScNiPO3
_chemical_formula_sum 'Sr4 Sc2 Ni2 P2 O6'
_symmetry_space_group_name_H-M 'P 4/n m m'
_symmetry_Int_Tables_number 129
_cell_length_a 4.0810
_cell_length_b 4.0810
_cell_length_c 15.2107
_cell_angle_alpha 90.00
_cell_angle_beta 90.00
_cell_angle_gamma 90.00
loop_
_symmetry_equiv_pos_as_xyz
'x,y,z'
'-x,-y,-z'
'-y+1/2,x,z'
'y+1/2,-x,-z'
'-x+1/2,-y+1/2,z'
'x+1/2,y+1/2,-z'
'y,-x+1/2,z'
'-y,x+1/2,-z'
'x+1/2,-y,-z'
'-x+1/2,y,z'
'-y,-x,-z'
'y,x,z'
'-x,y+1/2,-z'
'x,-y+1/2,z'
'y+1/2,x+1/2,-z'
'-y+1/2,-x+1/2,z'
loop_
_atom_site_label
_atom_site_type_symbol
_atom_site_fract_x
_atom_site_fract_y
_atom_site_fract_z
Sr1 Sr 0.2500 0.2500 0.0891
Sr2 Sr 0.2500 0.2500 0.3246
Sc1 Sc 0.2500 0.2500 0.8012
Ni1 Ni 0.2500 0.7500 0.5000
P1 P 0.2500 0.2500 0.5620
O1 O 0.2500 0.2500 0.9316
O2 O 0.2500 0.7500 0.2207
```

Most intense lines, 2θ from 15° to 90°, by intensity:
32.17°, I 100
44.40°, I 59
55.88°, I 40
30.99°, I 36
39.19°, I 33
58.10°, I 23
35.80°, I 23
31.56°, I 22
22.56°, I 21
64.59°, I 18



The following is a computed powder X-ray diffraction pattern of SiNi2P4O14. It was derived from a cell relaxed with GGA+U, using Cu Kα.

Structure:
```
data_SiNi2P4O14
_chemical_formula_sum 'Si4 Ni8 P16 O56'
_symmetry_space_group_name_H-M 'C 1 2/c 1'
_symmetry_Int_Tables_number 15
_symmetry_space_group_name_Hall '-C 2yc'
_cell_length_a 17.0615
_cell_length_b 4.9743
_cell_length_c 12.3402
_cell_angle_alpha 90.00
_cell_angle_beta 103.60
_cell_angle_gamma 90.00
loop_
_atom_site_label
_atom_site_type_symbol
_atom_site_fract_x
_atom_site_fract_y
_atom_site_fract_z
Si1 Si 0.0000 0.1593 0.2500
Ni1 Ni 0.2475 0.1502 0.6290
P1 P 0.1266 0.3677 0.1365
P2 P 0.1363 0.1657 0.9161
O1 O 0.0456 0.3512 0.1777
O2 O 0.0637 0.0317 0.8323
O3 O 0.0949 0.2181 0.0185
O4 O 0.1441 0.3424 0.6205
O5 O 0.1550 0.4272 0.8682
O6 O 0.1943 0.1965 0.2071
O7 O 0.2046 0.0344 0.4556
```

Most intense lines, 2θ from 15° to 90°, by intensity:
26.28°, I 100
24.05°, I 24
29.80°, I 23
31.82°, I 18
34.10°, I 17
30.23°, I 15
55.44°, I 12
28.15°, I 11
66.52°, I 9
30.33°, I 9



The following is a computed powder X-ray diffraction pattern of NiSnP2O9. It was derived from a cell relaxed with GGA+U, using Cu Kα.

Structure:
```
data_NiSnP2O9
_chemical_formula_sum 'Ni4 Sn4 P8 O36'
_symmetry_space_group_name_H-M 'P n m a'
_symmetry_Int_Tables_number 62
_symmetry_space_group_name_Hall '-P 2ac 2n'
_cell_length_a 14.1681
_cell_length_b 6.4385
_cell_length_c 7.9429
_cell_angle_alpha 90.00
_cell_angle_beta 90.00
_cell_angle_gamma 90.00
loop_
_atom_site_label
_atom_site_type_symbol
_atom_site_fract_x
_atom_site_fract_y
_atom_site_fract_z
Ni1 Ni 0.0000 0.0000 0.0000
Sn1 Sn 0.1216 0.2500 0.3494
P1 P 0.0634 0.7500 0.3464
P2 P 0.1828 0.7500 0.8933
O1 O 0.0151 0.2500 0.5222
O2 O 0.0219 0.7500 0.1657
O3 O 0.0445 0.2500 0.1315
O4 O 0.1234 0.5484 0.9040
O5 O 0.1295 0.5610 0.3678
O6 O 0.2380 0.2500 0.5313
O7 O 0.2413 0.7500 0.7266
```

Most intense lines, 2θ from 15° to 90°, by intensity:
16.77°, I 100
23.26°, I 77
18.81°, I 72
17.73°, I 60
30.62°, I 55
32.57°, I 39
29.38°, I 38
55.42°, I 28
30.94°, I 28
21.90°, I 27



The following is a computed powder X-ray diffraction pattern of VNi3Sn2P6O24. It was derived from a cell relaxed with GGA+U, using Cu Kα.

Structure:
```
data_VNi3Sn2P6O24
_chemical_formula_sum 'V3 Ni9 Sn6 P18 O72'
_symmetry_space_group_name_H-M 'R 3'
_symmetry_Int_Tables_number 146
_symmetry_space_group_name_Hall 'R 3'
_cell_length_a 8.6755
_cell_length_b 8.6755
_cell_length_c 20.4950
_cell_angle_alpha 90.00
_cell_angle_beta 90.00
_cell_angle_gamma 120.00
loop_
_atom_site_label
_atom_site_type_symbol
_atom_site_fract_x
_atom_site_fract_y
_atom_site_fract_z
V1 V 0.0000 0.0000 0.0000
Ni1 Ni 0.0000 0.0000 0.2065
Ni2 Ni 0.0000 0.0000 0.5004
Ni3 Ni 0.0000 0.0000 0.7041
Sn1 Sn 0.0000 0.0000 0.3511
Sn2 Sn 0.0000 0.0000 0.8503
P1 P 0.0009 0.2951 0.1036
P2 P 0.0397 0.6674 0.2699
O1 O 0.0038 0.8286 0.2790
O2 O 0.0081 0.1779 0.7778
O3 O 0.0114 0.2081 0.1644
O4 O 0.0110 0.7996 0.6658
O5 O 0.1265 0.6683 0.2067
O6 O 0.1475 0.4677 0.7077
O7 O 0.1666 0.4836 0.0893
O8 O 0.1698 0.6751 0.5957
```

Most intense lines, 2θ from 15° to 90°, by intensity:
20.47°, I 100
33.39°, I 80
24.31°, I 55
35.86°, I 42
49.80°, I 31
47.82°, I 27
62.88°, I 27
25.25°, I 25
56.10°, I 25
44.89°, I 17